No. 1
Calculated powder diffractogram of Re2TeSeS2 for Cu Ka, from a DFT-relaxed cell (GGA-PBE, OQMD).
Intensities are scaled so that the largest is 100.

Structural model:
Cell: 6.6719 6.8482 6.9571 Å, 74.40 75.70 60.87°
Fractional coordinates of all 12 atoms:
Re 0.1877 0.2978 0.0028
Re 0.2417 0.6884 0.9916
Re 0.7583 0.3116 0.0084
Re 0.8123 0.7022 0.9972
Te 0.3780 0.8621 0.2230
Te 0.6220 0.1379 0.7770
Se 0.3829 0.3463 0.2472
Se 0.6171 0.6537 0.7528
S 0.1134 0.1049 0.8094
S 0.1258 0.6114 0.7343
S 0.8742 0.3886 0.2657
S 0.8866 0.8951 0.1906

The 12 most intense peaks (2θ from 10° to 80°), by angle:
13.34°, rel. 100
30.36°, rel. 9
30.97°, rel. 13
35.43°, rel. 35
35.59°, rel. 20
41.35°, rel. 8
46.83°, rel. 6
48.27°, rel. 9
48.60°, rel. 9
53.56°, rel. 6
55.08°, rel. 6
55.37°, rel. 6

---

No. 2
Calculated powder diffractogram of ReTe2Se2S for Cu Ka, from a DFT-relaxed cell (GGA-PBE, OQMD).
Intensities are scaled so that the largest is 100.

Structural model:
Cell: 6.9286 7.0370 7.9087 Å, 116.08 91.61 106.84°
Fractional coordinates of all 12 atoms:
Re 0.0037 0.2023 0.0012
Re 0.9963 0.7977 0.9988
Te 0.0017 0.7292 0.4775
Te 0.2660 0.0162 0.3410
Te 0.7340 0.9838 0.6590
Te 0.9983 0.2708 0.5225
Se 0.2010 0.5092 0.8960
Se 0.2523 0.4551 0.3015
Se 0.7477 0.5449 0.6985
Se 0.7990 0.4908 0.1040
S 0.2123 0.9877 0.8638
S 0.7877 0.0123 0.1362

The 12 most intense peaks (2θ from 10° to 80°), by angle:
13.58°, rel. 100
16.84°, rel. 23
28.47°, rel. 13
28.91°, rel. 21
31.15°, rel. 44
33.24°, rel. 33
34.05°, rel. 14
34.40°, rel. 30
41.13°, rel. 14
44.95°, rel. 12
46.32°, rel. 22
47.80°, rel. 12

---

No. 3
Calculated powder diffractogram of ReTe2Se2S for Cu Ka, from a DFT-relaxed cell (GGA-PBE, OQMD).
Intensities are scaled so that the largest is 100.

Structural model:
Cell: 7.0819 7.1277 7.9054 Å, 63.50 72.88 70.60°
Fractional coordinates of all 12 atoms:
Re 0.0011 0.2857 0.4966
Re 0.9989 0.7143 0.5034
Te 0.0029 0.2434 0.0211
Te 0.2701 0.3443 0.6343
Te 0.7299 0.6557 0.3657
Te 0.9971 0.7566 0.9789
Se 0.2054 0.8859 0.5903
Se 0.2200 0.8247 0.1721
Se 0.7800 0.1753 0.8279
Se 0.7946 0.1141 0.4097
S 0.1997 0.3552 0.1899
S 0.8003 0.6448 0.8101

The 12 most intense peaks (2θ from 10° to 80°), by angle:
12.70°, rel. 24
13.46°, rel. 100
25.58°, rel. 14
28.80°, rel. 21
31.06°, rel. 41
32.40°, rel. 34
34.77°, rel. 31
41.20°, rel. 12
44.65°, rel. 14
44.86°, rel. 13
46.32°, rel. 11
48.48°, rel. 12

---

No. 4
Calculated powder diffractogram of Re2TeSe2S for Cu Ka, from a DFT-relaxed cell (GGA-PBE, OQMD).
Intensities are scaled so that the largest is 100.

Structural model:
Cell: 6.6858 6.7617 7.2387 Å, 92.82 103.51 119.29°
Fractional coordinates of all 12 atoms:
Re 0.0161 0.2116 0.0026
Re 0.4381 0.1911 0.0084
Re 0.5619 0.8089 0.9916
Re 0.9839 0.7884 0.9974
Te 0.2580 0.1292 0.3072
Te 0.7420 0.8708 0.6928
Se 0.2268 0.8367 0.7613
Se 0.2514 0.6397 0.1846
Se 0.7486 0.3603 0.8154
Se 0.7732 0.1633 0.2387
S 0.2847 0.3914 0.8145
S 0.7153 0.6086 0.1855

The 12 most intense peaks (2θ from 10° to 80°), by angle:
12.82°, rel. 100
15.32°, rel. 13
18.00°, rel. 6
30.89°, rel. 18
31.03°, rel. 8
34.90°, rel. 20
35.08°, rel. 24
35.89°, rel. 22
38.29°, rel. 12
42.96°, rel. 7
47.64°, rel. 17
54.93°, rel. 7

---

No. 5
Calculated powder diffractogram of Re2TeSeS2 for Cu Ka, from a DFT-relaxed cell (GGA-PBE, OQMD).
Intensities are scaled so that the largest is 100.

Structural model:
Cell: 6.6035 6.7294 7.1052 Å, 91.23 103.69 118.23°
Fractional coordinates of all 12 atoms:
Re 0.0107 0.2122 0.0031
Re 0.4356 0.1770 0.0109
Re 0.5644 0.8230 0.9891
Re 0.9893 0.7878 0.9969
Te 0.2784 0.3940 0.7558
Te 0.7216 0.6060 0.2442
Se 0.2282 0.8493 0.7443
Se 0.7718 0.1507 0.2557
S 0.2285 0.0998 0.2501
S 0.2422 0.6271 0.1543
S 0.7578 0.3729 0.8457
S 0.7715 0.9002 0.7499

The 12 most intense peaks (2θ from 10° to 80°), by angle:
12.98°, rel. 100
30.53°, rel. 6
31.02°, rel. 8
31.56°, rel. 8
35.19°, rel. 18
35.38°, rel. 17
35.90°, rel. 20
43.78°, rel. 10
44.18°, rel. 6
46.58°, rel. 9
47.52°, rel. 8
47.83°, rel. 10

---

No. 6
Calculated powder diffractogram of Sr2ReS4 for Cu Ka, from a DFT-relaxed cell (GGA-PBE, OQMD).
Intensities are scaled so that the largest is 100.

Structural model:
Cell: 9.9516 6.2184 6.2184 Å, 109.40 90.00 90.00°
Fractional coordinates of all 14 atoms:
Sr 0.0000 0.0000 0.0000
Sr 0.2500 0.7363 0.3463
Sr 0.5000 0.0000 0.0000
Sr 0.7500 0.3463 0.7363
Re 0.2500 0.3060 0.7643
Re 0.7500 0.7643 0.3060
S 0.0643 0.1318 0.5779
S 0.2500 0.2559 0.1103
S 0.2500 0.6845 0.8273
S 0.4357 0.1318 0.5779
S 0.5643 0.5779 0.1318
S 0.7500 0.1103 0.2559
S 0.7500 0.8273 0.6845
S 0.9357 0.5779 0.1318

The 12 most intense peaks (2θ from 10° to 80°), by angle:
17.52°, rel. 92
17.83°, rel. 41
23.45°, rel. 31
24.78°, rel. 32
25.06°, rel. 52
29.17°, rel. 38
30.53°, rel. 32
30.69°, rel. 25
35.53°, rel. 100
36.10°, rel. 30
50.16°, rel. 24
57.49°, rel. 21